# RbVSO6
Calculated powder X-ray diffraction pattern, Cu Kα (weighted mean of Kα1 and Kα2). Input: DFT lattice parameters and positions (PBE+U).
Intensities are scaled so that the largest is 100.

Crystal structure
Cell: 5.6368 9.0403 10.9692 Å, 90.00 90.00 90.00°
Fractional coordinates of all 36 atoms:
Rb: 0.0033 0.1880 0.3438
Rb: 0.4967 0.8120 0.8438
Rb: 0.5033 0.3120 0.6562
Rb: 0.9967 0.6880 0.1562
V: 0.0406 0.1531 0.9405
V: 0.4594 0.8469 0.4405
V: 0.5406 0.3469 0.0595
V: 0.9594 0.6531 0.5595
S: 0.0185 0.5422 0.7884
S: 0.4815 0.4578 0.2884
S: 0.5185 0.9578 0.2116
S: 0.9815 0.0422 0.7116
O: 0.0349 0.3824 0.8017
O: 0.0451 0.6267 0.9001
O: 0.0522 0.9987 0.0158
O: 0.1755 0.7586 0.4793
O: 0.1997 0.5949 0.6912
O: 0.2095 0.0839 0.7807
O: 0.2905 0.9161 0.2807
O: 0.3003 0.4051 0.1912
O: 0.3245 0.2414 0.9793
O: 0.4478 0.0013 0.5158
O: 0.4549 0.3733 0.4001
O: 0.4651 0.6176 0.3017
O: 0.5349 0.1176 0.1983
O: 0.5451 0.8733 0.0999
O: 0.5522 0.5013 0.9842
O: 0.6755 0.7414 0.5207
O: 0.6997 0.9051 0.3088
O: 0.7095 0.4161 0.2193
O: 0.7905 0.5839 0.7193
O: 0.8003 0.0949 0.8088
O: 0.8245 0.2586 0.0207
O: 0.9478 0.4987 0.4842
O: 0.9549 0.1267 0.5999
O: 0.9651 0.8824 0.6983

The 6 most intense peaks (2θ = 10–90°), in order of rising 2θ:
- 24.70°, rel. 100
- 25.26°, rel. 92
- 26.29°, rel. 47
- 26.55°, rel. 59
- 30.78°, rel. 51
- 31.75°, rel. 41



# Rb2WSO4
Calculated powder X-ray diffraction pattern, Cu Kα (weighted mean of Kα1 and Kα2). Input: DFT lattice parameters and positions (PBE+U).
Intensities are scaled so that the largest is 100.

Crystal structure
Cell: 12.3607 12.3607 12.3607 Å, 29.29 29.29 29.29°
Fractional coordinates of all 16 atoms:
Rb: 0.1471 0.1471 0.1471
Rb: 0.2734 0.2734 0.2734
Rb: 0.7266 0.7266 0.7266
Rb: 0.8529 0.8529 0.8529
W: 0.4387 0.4387 0.4387
W: 0.5613 0.5613 0.5613
S: 0.3737 0.3737 0.3737
S: 0.6263 0.6263 0.6263
O: 0.0598 0.0598 0.0598
O: 0.1423 0.6126 0.6126
O: 0.3874 0.3874 0.8577
O: 0.3874 0.8577 0.3874
O: 0.6126 0.1423 0.6126
O: 0.6126 0.6126 0.1423
O: 0.8577 0.3874 0.3874
O: 0.9402 0.9402 0.9402

The 6 most intense peaks (2θ = 10–90°), in order of rising 2θ:
- 16.56°, rel. 56
- 24.06°, rel. 76
- 28.56°, rel. 100
- 30.12°, rel. 37
- 37.68°, rel. 31
- 47.95°, rel. 23



# RbV2SbO8
Calculated powder X-ray diffraction pattern, Cu Kα (weighted mean of Kα1 and Kα2). Input: DFT lattice parameters and positions (PBE+U).
Intensities are scaled so that the largest is 100.

Crystal structure
Cell: 15.0167 5.6566 8.8296 Å, 90.00 90.00 90.00°
Fractional coordinates of all 48 atoms:
Rb: 0.1143 0.2500 0.0484
Rb: 0.3857 0.7500 0.5484
Rb: 0.6143 0.2500 0.4516
Rb: 0.8857 0.7500 0.9516
V: 0.0247 0.7500 0.2965
V: 0.2169 0.2500 0.4898
V: 0.2831 0.7500 0.9898
V: 0.4753 0.2500 0.7965
V: 0.5247 0.7500 0.2035
V: 0.7169 0.2500 0.0102
V: 0.7831 0.7500 0.5102
V: 0.9753 0.2500 0.7035
Sb: 0.1217 0.7500 0.6812
Sb: 0.3783 0.2500 0.1812
Sb: 0.6217 0.7500 0.8188
Sb: 0.8783 0.2500 0.3188
O: 0.0397 0.5030 0.7641
O: 0.0397 0.9970 0.7641
O: 0.0514 0.7500 0.4892
O: 0.1145 0.7500 0.1910
O: 0.1330 0.2500 0.3732
O: 0.1810 0.7500 0.8842
O: 0.2085 0.5090 0.6059
O: 0.2085 0.9910 0.6059
O: 0.2915 0.0090 0.1059
O: 0.2915 0.4910 0.1059
O: 0.3190 0.2500 0.3842
O: 0.3670 0.7500 0.8732
O: 0.3855 0.2500 0.6910
O: 0.4486 0.2500 0.9892
O: 0.4603 0.0030 0.2641
O: 0.4603 0.4970 0.2641
O: 0.5397 0.5030 0.7359
O: 0.5397 0.9970 0.7359
O: 0.5514 0.7500 0.0108
O: 0.6145 0.7500 0.3090
O: 0.6330 0.2500 0.1268
O: 0.6810 0.7500 0.6158
O: 0.7085 0.5090 0.8941
O: 0.7085 0.9910 0.8941
O: 0.7915 0.0090 0.3941
O: 0.7915 0.4910 0.3941
O: 0.8190 0.2500 0.1158
O: 0.8670 0.7500 0.6268
O: 0.8855 0.2500 0.8090
O: 0.9486 0.2500 0.5108
O: 0.9603 0.0030 0.2359
O: 0.9603 0.4970 0.2359

The 6 most intense peaks (2θ = 10–90°), in order of rising 2θ:
- 15.49°, rel. 35
- 18.63°, rel. 40
- 25.82°, rel. 97
- 28.26°, rel. 100
- 30.31°, rel. 72
- 31.63°, rel. 53



# Rb3ScV2O8
Calculated powder X-ray diffraction pattern, Cu Kα (weighted mean of Kα1 and Kα2). Input: DFT lattice parameters and positions (PBE+U).
Intensities are scaled so that the largest is 100.

Crystal structure
Cell: 5.9290 5.9290 7.9076 Å, 90.00 90.00 120.00°
Fractional coordinates of all 14 atoms:
Rb: 0.0000 0.0000 0.0000
Rb: 0.3333 0.6667 0.7040
Rb: 0.6667 0.3333 0.2960
Sc: 0.0000 0.0000 0.5000
V: 0.3333 0.6667 0.2694
V: 0.6667 0.3333 0.7306
O: 0.1701 0.3403 0.3429
O: 0.1701 0.8299 0.3429
O: 0.3333 0.6667 0.0564
O: 0.3403 0.1701 0.6571
O: 0.6597 0.8299 0.3429
O: 0.6667 0.3333 0.9436
O: 0.8299 0.1701 0.6571
O: 0.8299 0.6597 0.6571

The 6 most intense peaks (2θ = 10–90°), in order of rising 2θ:
- 28.49°, rel. 81
- 30.15°, rel. 100
- 41.96°, rel. 43
- 52.53°, rel. 28
- 53.54°, rel. 18
- 55.90°, rel. 19



# RbVSeO5
Calculated powder X-ray diffraction pattern, Cu Kα (weighted mean of Kα1 and Kα2). Input: DFT lattice parameters and positions (PBE+U).
Intensities are scaled so that the largest is 100.

Crystal structure
Cell: 7.9391 7.8480 9.5978 Å, 90.00 92.97 90.00°
Fractional coordinates of all 32 atoms:
Rb: 0.0932 0.0000 0.1350
Rb: 0.3757 0.7737 0.6139
Rb: 0.6243 0.2737 0.3861
Rb: 0.9068 0.5000 0.8650
V: 0.0802 0.4621 0.2672
V: 0.4291 0.3325 0.7624
V: 0.5709 0.8325 0.2376
V: 0.9198 0.9621 0.7328
Se: 0.1179 0.2616 0.5534
Se: 0.3810 0.5433 0.0690
Se: 0.6190 0.0433 0.9310
Se: 0.8821 0.7616 0.4466
O: 0.0095 0.9009 0.5463
O: 0.0316 0.7000 0.3321
O: 0.0689 0.8669 0.8318
O: 0.1820 0.6028 0.1215
O: 0.2218 0.4147 0.6597
O: 0.2480 0.3324 0.2903
O: 0.3297 0.5086 0.8954
O: 0.4133 0.1370 0.6896
O: 0.4188 0.9355 0.3135
O: 0.4709 0.7472 0.0584
O: 0.5291 0.2472 0.9416
O: 0.5812 0.4355 0.6865
O: 0.5867 0.6370 0.3104
O: 0.6703 0.0086 0.1046
O: 0.7520 0.8324 0.7097
O: 0.7782 0.9147 0.3403
O: 0.8180 0.1028 0.8785
O: 0.9311 0.3669 0.1682
O: 0.9684 0.2000 0.6679
O: 0.9905 0.4009 0.4537

The 6 most intense peaks (2θ = 10–90°), in order of rising 2θ:
- 24.04°, rel. 51
- 24.51°, rel. 100
- 25.17°, rel. 40
- 26.44°, rel. 41
- 27.26°, rel. 75
- 31.76°, rel. 35



# RbV3Se2O12
Calculated powder X-ray diffraction pattern, Cu Kα (weighted mean of Kα1 and Kα2). Input: DFT lattice parameters and positions (PBE+U).
Intensities are scaled so that the largest is 100.

Crystal structure
Cell: 7.1685 7.1685 12.0952 Å, 90.00 90.00 120.00°
Fractional coordinates of all 36 atoms:
Rb: 0.3333 0.6667 0.0000
Rb: 0.6667 0.3333 0.5000
V: 0.1265 0.3329 0.6668
V: 0.2064 0.8735 0.6668
V: 0.3329 0.2064 0.1668
V: 0.6671 0.7936 0.6668
V: 0.7936 0.1265 0.1668
V: 0.8735 0.6671 0.1668
Se: 0.0000 0.0000 0.3820
Se: 0.0000 0.0000 0.8820
Se: 0.3333 0.6667 0.4484
Se: 0.6667 0.3333 0.9484
O: 0.0828 0.5415 0.6908
O: 0.1229 0.8688 0.8208
O: 0.1248 0.8740 0.1366
O: 0.1260 0.2508 0.1366
O: 0.1312 0.2541 0.8208
O: 0.2009 0.7882 0.5080
O: 0.2118 0.4126 0.5080
O: 0.2508 0.1248 0.6366
O: 0.2541 0.1229 0.3208
O: 0.4126 0.2009 0.0080
O: 0.4585 0.5413 0.6908
O: 0.4587 0.9172 0.6908
O: 0.5413 0.0828 0.1908
O: 0.5415 0.4587 0.1908
O: 0.5874 0.7991 0.5080
O: 0.7459 0.8771 0.8208
O: 0.7492 0.8752 0.1366
O: 0.7882 0.5874 0.0080
O: 0.7991 0.2118 0.0080
O: 0.8688 0.7459 0.3208
O: 0.8740 0.7492 0.6366
O: 0.8752 0.1260 0.6366
O: 0.8771 0.1312 0.3208
O: 0.9172 0.4585 0.1908

The 6 most intense peaks (2θ = 10–90°), in order of rising 2θ:
- 20.50°, rel. 35
- 24.84°, rel. 28
- 28.96°, rel. 100
- 29.71°, rel. 30
- 32.95°, rel. 35
- 50.96°, rel. 26



# Rb2W3SeO12
Calculated powder X-ray diffraction pattern, Cu Kα (weighted mean of Kα1 and Kα2). Input: DFT lattice parameters and positions (PBE+U).
Intensities are scaled so that the largest is 100.

Crystal structure
Cell: 7.3727 7.3727 12.5120 Å, 90.00 90.00 120.00°
Fractional coordinates of all 36 atoms:
Rb: 0.3333 0.6667 0.0000
Rb: 0.3333 0.6667 0.3855
Rb: 0.6667 0.3333 0.5000
Rb: 0.6667 0.3333 0.8855
W: 0.1661 0.3387 0.7169
W: 0.1726 0.8339 0.7169
W: 0.3387 0.1726 0.2169
W: 0.6613 0.8274 0.7169
W: 0.8274 0.1661 0.2169
W: 0.8339 0.6613 0.2169
Se: 0.0000 0.0000 0.4446
Se: 0.0000 0.0000 0.9446
O: 0.0880 0.5457 0.7615
O: 0.1207 0.2481 0.8859
O: 0.1231 0.2505 0.2058
O: 0.1274 0.8769 0.2058
O: 0.1274 0.8793 0.8859
O: 0.1934 0.4016 0.5794
O: 0.2081 0.8066 0.5794
O: 0.2481 0.1274 0.3859
O: 0.2505 0.1274 0.7058
O: 0.4016 0.2081 0.0794
O: 0.4543 0.5422 0.7615
O: 0.4578 0.9120 0.7615
O: 0.5422 0.0880 0.2615
O: 0.5457 0.4578 0.2615
O: 0.5984 0.7919 0.5794
O: 0.7495 0.8726 0.2058
O: 0.7519 0.8726 0.8859
O: 0.7919 0.1934 0.0794
O: 0.8066 0.5984 0.0794
O: 0.8726 0.1207 0.3859
O: 0.8726 0.1231 0.7058
O: 0.8769 0.7495 0.7058
O: 0.8793 0.7519 0.3859
O: 0.9120 0.4543 0.2615

The 6 most intense peaks (2θ = 10–90°), in order of rising 2θ:
- 14.16°, rel. 54
- 15.58°, rel. 31
- 25.51°, rel. 35
- 28.10°, rel. 61
- 28.86°, rel. 100
- 46.09°, rel. 32



# Rb2TiW3O12
Calculated powder X-ray diffraction pattern, Cu Kα (weighted mean of Kα1 and Kα2). Input: DFT lattice parameters and positions (PBE+U).
Intensities are scaled so that the largest is 100.

Crystal structure
Cell: 7.3222 7.3222 7.3236 Å, 119.42 119.42 60.61°
Fractional coordinates of all 18 atoms:
Rb: 0.1421 0.1421 0.3905
Rb: 0.8579 0.8579 0.6095
Ti: 0.4657 0.5343 0.0000
W: 0.4664 0.0341 0.9999
W: 0.4662 0.5338 0.5000
W: 0.9659 0.5336 0.0001
O: 0.1505 0.5960 0.9392
O: 0.1520 0.2226 0.9391
O: 0.1521 0.5964 0.3129
O: 0.4021 0.4759 0.6856
O: 0.4036 0.8479 0.6871
O: 0.4040 0.8495 0.0608
O: 0.5236 0.2217 0.9378
O: 0.5241 0.5979 0.3144
O: 0.5245 0.2225 0.3130
O: 0.7775 0.4755 0.6870
O: 0.7774 0.8480 0.0609
O: 0.7783 0.4764 0.0622

The 6 most intense peaks (2θ = 10–90°), in order of rising 2θ:
- 14.71°, rel. 27
- 14.88°, rel. 48
- 28.37°, rel. 100
- 29.66°, rel. 56
- 49.34°, rel. 25
- 49.81°, rel. 25